The following is a computed PXRD pattern of Li4ScFe3Si8O24. It was derived from a DFT-relaxed cell (GGA+U, Alexandria), using Cu Kα X-rays.
Lines closer than 0.1° are merged.

Largest 10 diffraction maxima, low angle first, 10° ≤ 2θ ≤ 90°:
(0 1 1), 13.9 deg, d = 6.390 Å, I = 45
(1 1 0), 19.6 deg, d = 4.524 Å, I = 31
(0 2 0), 20.0 deg, d = 4.429 Å, I = 28
(1 1 -2), 25.0 deg, d = 3.556 Å, I = 37
(1 2 1), 29.2 deg, d = 3.054 Å, I = 100
(0 1 3), 30.8 deg, d = 2.905 Å, I = 60
(2 0 -2), 35.7 deg, d = 2.516 Å, I = 31
(1 2 -3), 36.8 deg, d = 2.442 Å, I = 22
(3 2 -1), 55.3 deg, d = 1.661 Å, I = 27
(1 3 4), 56.1 deg, d = 1.639 Å, I = 17

Structural model:
```
data_Li4ScFe3Si8O24
_chemical_formula_sum 'Li4 Sc1 Fe3 Si8 O24'
_symmetry_space_group_name_H-M 'P 1 2 1'
_symmetry_Int_Tables_number 3
_cell_length_a 5.3746
_cell_length_b 8.8576
_cell_length_c 9.4236
_cell_angle_alpha 90.00
_cell_angle_beta 101.74
_cell_angle_gamma 90.00
loop_
_symmetry_equiv_pos_as_xyz
'x,y,z'
'-x,y,-z'
loop_
_atom_site_label
_atom_site_fract_x
_atom_site_fract_y
_atom_site_fract_z
_atom_site_occupancy
Li1 0.0000 0.0000 0.0000 1
Li2 0.0000 0.0066 0.5000 1
Li3 0.5000 0.5034 0.5000 1
Li4 0.5000 0.5123 0.0000 1
Sc1 0.5000 0.1521 0.0000 1
Fe1 0.0000 0.3600 0.0000 1
Fe2 0.0000 0.6518 0.5000 1
Fe3 0.5000 0.8578 0.5000 1
Si1 0.2207 0.3452 0.7019 1
Si2 0.2230 0.6636 0.2041 1
Si3 0.2755 0.1666 0.2982 1
Si4 0.2760 0.8397 0.7949 1
O1 0.0475 0.2549 0.3574 1
O2 0.0483 0.7507 0.8536 1
O3 0.2078 0.1701 0.1191 1
O4 0.2127 0.5106 0.6283 1
O5 0.2152 0.4977 0.1313 1
O6 0.2165 0.8368 0.6154 1
O7 0.2779 0.3440 0.8811 1
O8 0.2835 0.6700 0.3835 1
O9 0.2844 0.0056 0.8663 1
O10 0.2886 0.0003 0.3712 1
O11 0.4530 0.7518 0.1465 1
O12 0.4536 0.2561 0.6474 1
```